No. 1
CeAlO3: calculated PXRD pattern (Cu Ka), based on a crystal structure in the Materials Project, relaxed with GGA-PBE.
Neutral-atom scattering factors, no anomalous dispersion.

Largest 10 diffraction maxima, low angle first, 2θ = 10–90°:
Position (°2θ)	intensity
23.50	48
33.47	100
41.30	43
48.06	36
54.17	22
59.84	39
70.33	21
75.30	11
80.16	17
84.96	13

Structural model:
abc: 3.7862 3.7862 3.7862
angles: 90.00 90.00 90.00
Fractional coordinates of all 5 atoms:
Ce 0.0000 0.0000 0.0000
Al 0.5000 0.5000 0.5000
O 0.0000 0.5000 0.5000
O 0.5000 0.0000 0.5000
O 0.5000 0.5000 0.0000

No. 2
Ba5Lu2ZrAl2O13: calculated PXRD pattern (Cu Ka), based on a crystal structure in the Materials Project, relaxed with GGA-PBE.
Neutral-atom scattering factors, no anomalous dispersion.

Largest 10 diffraction maxima, low angle first, 2θ = 10–90°:
Position (°2θ)	intensity
17.50	19
27.54	27
29.91	100
30.48	64
41.10	18
43.23	31
53.09	20
53.45	26
54.52	15
62.14	18

Structural model:
abc: 5.9753 5.9753 24.9205
angles: 90.00 90.00 120.00
Fractional coordinates of all 46 atoms:
Ba 0.0000 0.0000 0.1388
Ba 0.0000 0.0000 0.3612
Ba 0.0000 0.0000 0.6388
Ba 0.0000 0.0000 0.8612
Ba 0.3333 0.6667 0.0429
Ba 0.3333 0.6667 0.4571
Ba 0.3333 0.6667 0.7500
Ba 0.6667 0.3333 0.2500
Ba 0.6667 0.3333 0.5429
Ba 0.6667 0.3333 0.9571
Lu 0.3333 0.6667 0.6038
Lu 0.3333 0.6667 0.8962
Lu 0.6667 0.3333 0.1038
Lu 0.6667 0.3333 0.3962
Zr 0.0000 0.0000 0.0000
Zr 0.0000 0.0000 0.5000
Al 0.3333 0.6667 0.1804
Al 0.3333 0.6667 0.3196
Al 0.6667 0.3333 0.6804
Al 0.6667 0.3333 0.8196
O 0.0075 0.5038 0.1578
O 0.0075 0.5038 0.3422
O 0.1638 0.3275 0.5514
O 0.1638 0.3275 0.9486
O 0.1638 0.8362 0.5514
O 0.1638 0.8362 0.9486
O 0.3275 0.1638 0.0514
O 0.3275 0.1638 0.4486
O 0.3333 0.6667 0.2500
O 0.4962 0.5038 0.1578
O 0.4962 0.5038 0.3422
O 0.4962 0.9925 0.1578
O 0.4962 0.9925 0.3422
O 0.5038 0.0075 0.6578
O 0.5038 0.0075 0.8422
O 0.5038 0.4962 0.6578
O 0.5038 0.4962 0.8422
O 0.6667 0.3333 0.7500
O 0.6725 0.8362 0.5514
O 0.6725 0.8362 0.9486
O 0.8362 0.1638 0.0514
O 0.8362 0.1638 0.4486
O 0.8362 0.6725 0.0514
O 0.8362 0.6725 0.4486
O 0.9925 0.4962 0.6578
O 0.9925 0.4962 0.8422

No. 3
ZrTiB4: calculated PXRD pattern (Cu Ka), based on a crystal structure in the Materials Project, relaxed with GGA-PBE.
Neutral-atom scattering factors, no anomalous dispersion.

Largest 10 diffraction maxima, low angle first, 2θ = 10–90°:
Position (°2θ)	intensity
13.04	22
26.25	30
33.29	67
35.90	16
42.88	100
59.50	21
64.96	19
66.14	14
76.10	17
84.55	15

Structural model:
abc: 3.1073 3.1073 6.7898
angles: 90.00 90.00 120.00
Fractional coordinates of all 6 atoms:
Zr 0.0000 0.0000 0.0000
Ti 0.0000 0.0000 0.5000
B 0.3333 0.6667 0.2670
B 0.3333 0.6667 0.7330
B 0.6667 0.3333 0.2670
B 0.6667 0.3333 0.7330

No. 4
Sr2GdMgRuO6: calculated PXRD pattern (Cu Ka), based on a crystal structure in the Materials Project, relaxed with GGA-PBE.
Neutral-atom scattering factors, no anomalous dispersion.

Largest 10 diffraction maxima, low angle first, 2θ = 10–90°:
Position (°2θ)	intensity
20.09	38
28.04	100
29.32	81
30.73	87
31.13	62
33.80	37
43.29	83
43.82	23
44.64	22
56.73	22

Structural model:
abc: 5.8577 5.8577 5.7897
angles: 113.62 113.62 62.66
Fractional coordinates of all 11 atoms:
Sr 0.1855 0.1855 0.1715
Sr 0.8145 0.8145 0.8285
Gd 0.5000 0.5000 0.0000
Mg 0.5000 0.5000 0.5000
Ru 0.0000 0.0000 0.5000
O 0.2026 0.6901 0.2309
O 0.2445 0.2445 0.6402
O 0.3099 0.7974 0.7691
O 0.6901 0.2026 0.2309
O 0.7555 0.7555 0.3598
O 0.7974 0.3099 0.7691

No. 5
Er6MnGe2S14: calculated PXRD pattern (Cu Ka), based on a crystal structure in the Materials Project, relaxed with GGA-PBE.
Neutral-atom scattering factors, no anomalous dispersion.

Largest 10 diffraction maxima, low angle first, 2θ = 10–90°:
Position (°2θ)	intensity
20.82	28
23.92	36
26.13	100
27.66	23
36.50	49
38.05	68
41.33	35
42.42	31
50.20	21
51.66	20

Structural model:
abc: 9.8542 9.8542 5.6742
angles: 90.00 90.00 120.00
Fractional coordinates of all 23 atoms:
Er 0.0227 0.4581 0.0000
Er 0.3108 0.2089 0.4997
Er 0.4353 0.9773 0.0000
Er 0.5419 0.5647 0.0000
Er 0.7911 0.1019 0.4997
Er 0.8981 0.6892 0.4997
Mn 0.6667 0.3333 0.7366
Ge 0.0000 0.0000 0.0782
Ge 0.3333 0.6667 0.5823
S 0.0000 0.0000 0.6950
S 0.0817 0.2342 0.2473
S 0.1526 0.9183 0.2473
S 0.1811 0.7486 0.7507
S 0.2514 0.4326 0.7507
S 0.3333 0.6667 0.1986
S 0.4141 0.2411 0.9681
S 0.5035 0.0810 0.4891
S 0.5674 0.8189 0.7507
S 0.5775 0.4965 0.4891
S 0.7589 0.1730 0.9681
S 0.7658 0.8474 0.2473
S 0.8270 0.5859 0.9681
S 0.9190 0.4225 0.4891

No. 6
La2Cu2SeSO2: calculated PXRD pattern (Cu Ka), based on a crystal structure in the Materials Project, relaxed with GGA-PBE.
Neutral-atom scattering factors, no anomalous dispersion.

Largest 10 diffraction maxima, low angle first, 2θ = 10–90°:
Position (°2θ)	intensity
24.30	18
30.19	100
31.34	15
33.03	29
37.68	35
44.92	38
52.87	33
55.07	36
65.40	12
88.87	14

Structural model:
abc: 4.0360 4.0360 8.7133
angles: 90.00 90.00 90.00
Fractional coordinates of all 8 atoms:
La 0.0000 0.0000 0.0000
La 0.5000 0.5000 0.2871
Cu 0.0000 0.5000 0.6328
Cu 0.5000 0.0000 0.6328
Se 0.5000 0.5000 0.8093
S 0.0000 0.0000 0.4798
O 0.0000 0.5000 0.1437
O 0.5000 0.0000 0.1437

No. 7
Sm12InCo6: calculated PXRD pattern (Cu Ka), based on a crystal structure in the Materials Project, relaxed with GGA-PBE.
Neutral-atom scattering factors, no anomalous dispersion.

Largest 10 diffraction maxima, low angle first, 2θ = 10–90°:
Position (°2θ)	intensity
28.57	47
31.37	51
33.95	100
36.38	18
46.90	24
54.13	38
57.51	37
66.98	19
82.93	17
84.34	18

Structural model:
abc: 8.5553 8.5553 8.5553
angles: 109.47 109.47 109.47
Fractional coordinates of all 19 atoms:
Sm 0.1129 0.8079 0.3050
Sm 0.1921 0.3050 0.4970
Sm 0.1921 0.6950 0.8871
Sm 0.3050 0.1129 0.8079
Sm 0.3050 0.4970 0.1921
Sm 0.4970 0.1921 0.3050
Sm 0.5030 0.8079 0.6950
Sm 0.6950 0.5030 0.8079
Sm 0.6950 0.8871 0.1921
Sm 0.8079 0.3050 0.1129
Sm 0.8079 0.6950 0.5030
Sm 0.8871 0.1921 0.6950
In 0.0000 0.0000 0.0000
Co 0.1117 0.6117 0.5000
Co 0.3883 0.5000 0.8883
Co 0.5000 0.1117 0.6117
Co 0.5000 0.8883 0.3883
Co 0.6117 0.5000 0.1117
Co 0.8883 0.3883 0.5000